[1]
FeH4N2F5: computed XRD peak list (λ = 1.5418 Å (Cu Kα)), based on a cell relaxed with GGA+U.

Crystal structure
Cell lengths 6.3567, 7.6607, 11.2053 Å; angles 90.00, 90.00, 90.00 degrees
Fractional coordinates of all 48 atoms:
Fe (0.0000, 0.0000, 0.0000)
Fe (0.0000, 0.5000, 0.0000)
Fe (0.5000, 0.0000, 0.5000)
Fe (0.5000, 0.5000, 0.5000)
H (0.0049, 0.2500, 0.2750)
H (0.0890, 0.1391, 0.3957)
H (0.0890, 0.3609, 0.3957)
H (0.1402, 0.7500, 0.5993)
H (0.3598, 0.2500, 0.0993)
H (0.4110, 0.6391, 0.8957)
H (0.4110, 0.8609, 0.8957)
H (0.4951, 0.7500, 0.7750)
H (0.5049, 0.2500, 0.2250)
H (0.5890, 0.1391, 0.1043)
H (0.5890, 0.3609, 0.1043)
H (0.6402, 0.7500, 0.9007)
H (0.8598, 0.2500, 0.4007)
H (0.9110, 0.6391, 0.6043)
H (0.9110, 0.8609, 0.6043)
H (0.9951, 0.7500, 0.7250)
N (0.0102, 0.2500, 0.3669)
N (0.0255, 0.2500, 0.6774)
N (0.4745, 0.7500, 0.1774)
N (0.4898, 0.7500, 0.8669)
N (0.5102, 0.2500, 0.1331)
N (0.5255, 0.2500, 0.8226)
N (0.9745, 0.7500, 0.3226)
N (0.9898, 0.7500, 0.6331)
F (0.0912, 0.7500, 0.0199)
F (0.0999, 0.0543, 0.1489)
F (0.0999, 0.4457, 0.1489)
F (0.2362, 0.5496, 0.4368)
F (0.2362, 0.9504, 0.4368)
F (0.2638, 0.0496, 0.9368)
F (0.2638, 0.4504, 0.9368)
F (0.4001, 0.5543, 0.6489)
F (0.4001, 0.9457, 0.6489)
F (0.4088, 0.2500, 0.5199)
F (0.5912, 0.7500, 0.4801)
F (0.5999, 0.0543, 0.3511)
F (0.5999, 0.4457, 0.3511)
F (0.7362, 0.5496, 0.0632)
F (0.7362, 0.9504, 0.0632)
F (0.7638, 0.0496, 0.5632)
F (0.7638, 0.4504, 0.5632)
F (0.9001, 0.5543, 0.8511)
F (0.9001, 0.9457, 0.8511)
F (0.9088, 0.2500, 0.9801)

Most intense lines, 2θ = 5–70°, by angle:
2theta	I_rel
15.82	72
16.03	100
23.22	19
27.70	25
28.22	20
28.35	50

[2]
Fe2H4NF6: computed XRD peak list (λ = 1.5418 Å (Cu Kα)), based on a cell relaxed with GGA+U.

Crystal structure
Cell lengths 7.2670, 7.5735, 10.1598 Å; angles 90.00, 90.00, 90.00 degrees
Fractional coordinates of all 52 atoms:
Fe (0.0000, 0.0000, 0.0000)
Fe (0.0000, 0.5000, 0.0000)
Fe (0.2089, 0.2500, 0.2668)
Fe (0.2911, 0.7500, 0.7668)
Fe (0.5000, 0.0000, 0.5000)
Fe (0.5000, 0.5000, 0.5000)
Fe (0.7089, 0.2500, 0.2332)
Fe (0.7911, 0.7500, 0.7332)
H (0.0327, 0.7500, 0.4820)
H (0.0523, 0.6392, 0.3365)
H (0.0523, 0.8608, 0.3365)
H (0.1422, 0.2500, 0.6273)
H (0.3578, 0.7500, 0.1273)
H (0.4477, 0.1392, 0.8365)
H (0.4477, 0.3608, 0.8365)
H (0.4673, 0.2500, 0.9820)
H (0.5327, 0.7500, 0.0180)
H (0.5523, 0.6392, 0.1635)
H (0.5523, 0.8608, 0.1635)
H (0.6422, 0.2500, 0.8727)
H (0.8578, 0.7500, 0.3727)
H (0.9477, 0.1392, 0.6635)
H (0.9477, 0.3608, 0.6635)
H (0.9673, 0.2500, 0.5180)
N (0.0011, 0.2500, 0.6182)
N (0.4989, 0.7500, 0.1182)
N (0.5011, 0.2500, 0.8818)
N (0.9989, 0.7500, 0.3818)
F (0.0597, 0.7500, 0.6552)
F (0.0607, 0.2500, 0.9642)
F (0.1279, 0.0109, 0.1686)
F (0.1279, 0.4891, 0.1686)
F (0.2316, 0.5622, 0.9163)
F (0.2316, 0.9378, 0.9163)
F (0.2684, 0.0622, 0.4163)
F (0.2684, 0.4378, 0.4163)
F (0.3721, 0.5109, 0.6686)
F (0.3721, 0.9891, 0.6686)
F (0.4393, 0.7500, 0.4642)
F (0.4403, 0.2500, 0.1552)
F (0.5597, 0.7500, 0.8448)
F (0.5607, 0.2500, 0.5358)
F (0.6279, 0.0109, 0.3314)
F (0.6279, 0.4891, 0.3314)
F (0.7316, 0.5622, 0.5837)
F (0.7316, 0.9378, 0.5837)
F (0.7684, 0.0622, 0.0837)
F (0.7684, 0.4378, 0.0837)
F (0.8721, 0.5109, 0.8314)
F (0.8721, 0.9891, 0.8314)
F (0.9393, 0.7500, 0.0358)
F (0.9403, 0.2500, 0.3448)

Most intense lines, 2θ = 5–70°, by angle:
2theta	I_rel
14.59	100
14.99	96
27.98	63
28.63	32
29.42	38
30.24	37

[3]
NaFeH8N2F6: computed XRD peak list (λ = 1.5418 Å (Cu Kα)), based on a cell relaxed with GGA+U.

Crystal structure
Cell lengths 6.0830, 6.0830, 6.0830 Å; angles 60.00, 60.00, 60.00 degrees
Fractional coordinates of all 18 atoms:
Na (0.0000, 0.0000, 0.0000)
Fe (0.5000, 0.5000, 0.5000)
H (0.0426, 0.3191, 0.3191)
H (0.3191, 0.0426, 0.3191)
H (0.3191, 0.3191, 0.0426)
H (0.3191, 0.3191, 0.3191)
H (0.6809, 0.6809, 0.6809)
H (0.6809, 0.6809, 0.9574)
H (0.6809, 0.9574, 0.6809)
H (0.9574, 0.6809, 0.6809)
N (0.2500, 0.2500, 0.2500)
N (0.7500, 0.7500, 0.7500)
F (0.2793, 0.2793, 0.7207)
F (0.2793, 0.7207, 0.2793)
F (0.2793, 0.7207, 0.7207)
F (0.7207, 0.2793, 0.2793)
F (0.7207, 0.2793, 0.7207)
F (0.7207, 0.7207, 0.2793)

Most intense lines, 2θ = 5–70°, by angle:
2theta	I_rel
17.86	86
20.65	100
29.37	73
42.01	87
47.25	44
60.92	43

[4]
NaFeH4SO6F: computed XRD peak list (λ = 1.5418 Å (Cu Kα)), based on a cell relaxed with GGA+U.

Crystal structure
Cell lengths 5.8451, 7.3044, 7.4762 Å; angles 90.09, 90.09, 112.64 degrees
Fractional coordinates of all 28 atoms:
Na (0.1339, 0.2057, 0.2502)
Na (0.8661, 0.7943, 0.7498)
Fe (0.5000, 0.0000, 0.0000)
Fe (0.5000, 0.0000, 0.5000)
H (0.0650, 0.6924, 0.0690)
H (0.0664, 0.6918, 0.4318)
H (0.1917, 0.6220, 0.9091)
H (0.1929, 0.6223, 0.5923)
H (0.8071, 0.3777, 0.4077)
H (0.8083, 0.3780, 0.0909)
H (0.9336, 0.3082, 0.5682)
H (0.9350, 0.3076, 0.9310)
S (0.3467, 0.3093, 0.7490)
S (0.6533, 0.6907, 0.2510)
O (0.1583, 0.4076, 0.7497)
O (0.1595, 0.7363, 0.9560)
O (0.1609, 0.7364, 0.5450)
O (0.2949, 0.1802, 0.5857)
O (0.2955, 0.1795, 0.9112)
O (0.4007, 0.5397, 0.2504)
O (0.5993, 0.4603, 0.7496)
O (0.7045, 0.8205, 0.0888)
O (0.7051, 0.8198, 0.4143)
O (0.8391, 0.2636, 0.4550)
O (0.8405, 0.2637, 0.0440)
O (0.8417, 0.5924, 0.2503)
F (0.3840, 0.0308, 0.2499)
F (0.6160, 0.9692, 0.7501)

Most intense lines, 2θ = 5–70°, by angle:
2theta	I_rel
13.13	47
16.43	59
24.79	59
27.28	44
27.55	28
29.18	100

- What is the formula in the fourth record?
  NaFeH4SO6F

- What is the formula in the third record?
  NaFeH8N2F6